[1]
Theoretical powder diffractogram of CaBi3P3O13 for a wavelength of 1.5418 Å, from the GGA-PBE geometry in Alexandria.

Top 8 peaks for 2θ = 15–90°, sorted by position:
2θ (°)  d [Å]  I/Imax  hkl
18.3  4.841  96  1 0 -2
24.4  3.650  63  2 0 0
24.5  3.631  46  2 0 -1
26.2  3.397  72  0 2 1
27.7  3.215  100  1 0 3
29.4  3.035  58  1 2 1
35.2  2.550  77  2 2 0
35.5  2.529  64  1 2 -3

Cell and atoms:
```
CaBi3P3O13
1.0
7.384 0.000 0.000
0.000 7.114 0.000
-1.569 0.000 11.473
Ca Bi P O
2 6 6 26
Direct
0.134 0.250 0.180
0.866 0.750 0.820
0.217 0.250 0.742
0.259 0.750 0.438
0.500 0.000 0.000
0.500 0.500 0.000
0.741 0.250 0.562
0.783 0.750 0.258
0.157 0.750 0.113
0.236 0.250 0.465
0.272 0.750 0.752
0.728 0.250 0.248
0.764 0.750 0.535
0.843 0.250 0.887
0.017 0.750 0.005
0.065 0.250 0.532
0.072 0.750 0.233
0.153 0.576 0.770
0.153 0.924 0.770
0.233 0.075 0.384
0.233 0.425 0.384
0.276 0.567 0.123
0.276 0.933 0.123
0.339 0.250 0.920
0.342 0.750 0.632
0.409 0.250 0.560
0.445 0.750 0.850
0.555 0.250 0.150
0.591 0.750 0.440
0.658 0.250 0.368
0.661 0.750 0.080
0.724 0.067 0.877
0.724 0.433 0.877
0.767 0.575 0.616
0.767 0.925 0.616
0.847 0.076 0.230
0.847 0.424 0.230
0.928 0.250 0.767
0.935 0.750 0.468
0.983 0.250 0.995
```

[2]
Theoretical powder diffractogram of CrNiSe2 for a wavelength of 1.5418 Å, from the GGA-PBE geometry in Alexandria.

Top 8 peaks for 2θ = 15–90°, sorted by position:
2θ (°)  d [Å]  I/Imax  hkl
29.9  2.988  68  0 2 0
30.3  2.952  83  0 1 2
30.8  2.903  56  2 1 -2
40.0  2.257  100  2 2 0
40.6  2.222  60  2 2 -2
46.6  1.948  72  4 0 -2
48.1  1.891  59  2 1 2
53.3  1.719  53  0 3 2

Cell and atoms:
```
CrNiSe2
1.0
7.797 0.000 0.000
0.000 5.979 0.000
-3.619 0.000 6.790
Cr Ni Se
4 4 8
Direct
0.031 0.033 0.323
0.031 0.467 0.823
0.969 0.533 0.177
0.969 0.967 0.677
0.126 0.644 0.562
0.126 0.856 0.062
0.874 0.144 0.938
0.874 0.356 0.438
0.197 0.243 0.645
0.197 0.257 0.145
0.292 0.744 0.893
0.292 0.756 0.393
0.708 0.244 0.607
0.708 0.256 0.107
0.803 0.743 0.855
0.803 0.757 0.355
```

[3]
Theoretical powder diffractogram of In3SnBi3 for a wavelength of 1.5418 Å, from the GGA-PBE geometry in Alexandria.

Top 8 peaks for 2θ = 15–90°, sorted by position:
2θ (°)  d [Å]  I/Imax  hkl
21.3  4.179  41  2 0 0
26.1  3.412  100  2 1 1
37.3  2.413  48  2 2 2
40.4  2.234  64  3 2 1
43.3  2.089  40  4 0 0
60.7  1.526  20  5 2 1
62.9  1.477  26  4 4 0
69.3  1.356  20  6 1 1

Cell and atoms:
```
In3SnBi3
1.0
8.358 0.000 0.000
0.000 8.358 0.000
0.000 0.000 8.358
In Sn Bi
6 2 6
Direct
0.000 0.250 0.500
0.000 0.750 0.500
0.250 0.500 0.000
0.500 0.000 0.250
0.500 0.000 0.750
0.750 0.500 0.000
0.000 0.000 0.000
0.500 0.500 0.500
0.000 0.500 0.250
0.000 0.500 0.750
0.250 0.000 0.500
0.500 0.250 0.000
0.500 0.750 0.000
0.750 0.000 0.500
```